# 1
The following is a computed XRD peak list of Ac3PrO6. It was derived from a cell relaxed with GGA-PBE, using Cu Kα X-rays.
Peak positions follow from Bragg's law for the DFT cell and can differ from measured ones.

Structural model:
a b c (Å): 7.3863 7.3863 7.3863
angles (deg): 91.78 91.78 91.78
Atoms (fractional coordinates):
Ac  0.0556  0.5624  0.7521
Ac  0.2479  0.9444  0.4376
Ac  0.4376  0.2479  0.9444
Ac  0.5624  0.7521  0.0556
Ac  0.7521  0.0556  0.5624
Ac  0.9444  0.4376  0.2479
Pr  0.0000  0.0000  0.0000
Pr  0.5000  0.5000  0.5000
O  0.0313  0.9008  0.6888
O  0.0992  0.3112  0.9687
O  0.1899  0.5922  0.4374
O  0.3112  0.9687  0.0992
O  0.4078  0.5626  0.8101
O  0.4374  0.1899  0.5922
O  0.5626  0.8101  0.4078
O  0.5922  0.4374  0.1899
O  0.6888  0.0313  0.9008
O  0.8101  0.4078  0.5626
O  0.9008  0.6888  0.0313
O  0.9687  0.0992  0.3112

Principal peaks in the range 2θ from 15° to 90°, by intensity:
Position (°2θ)	I_rel
26.66	100
29.49	67
27.37	48
21.52	33
45.24	29
38.97	25
24.12	23
47.24	23
38.20	17
43.56	17

***

# 2
The following is a computed XRD peak list of AcPrO4. It was derived from a cell relaxed with GGA-PBE, using Cu Kα X-rays.
Peak positions follow from Bragg's law for the DFT cell and can differ from measured ones.

Structural model:
a b c (Å): 6.9427 4.1886 6.7823
angles (deg): 90.00 97.65 90.00
Atoms (fractional coordinates):
Ac  0.0000  0.0000  0.0000
Ac  0.5000  0.5000  0.0000
Pr  0.1020  0.5000  0.5374
Pr  0.6020  0.0000  0.5374
O  0.1447  0.5000  0.8952
O  0.2235  0.0000  0.3475
O  0.3734  0.0000  0.2049
O  0.4514  0.5000  0.6182
O  0.6447  0.0000  0.8952
O  0.7235  0.5000  0.3475
O  0.8734  0.5000  0.2049
O  0.9514  0.0000  0.6182

Principal peaks in the range 2θ from 15° to 90°, by intensity:
Position (°2θ)	I_rel
27.42	100
26.52	42
29.07	40
25.90	32
46.30	26
45.07	20
30.73	18
43.20	18
34.74	16
51.41	14

***

# 3
The following is a computed XRD peak list of AcPrSO2. It was derived from a cell relaxed with GGA-PBE, using Cu Kα X-rays.
Peak positions follow from Bragg's law for the DFT cell and can differ from measured ones.

Structural model:
a b c (Å): 4.0214 4.0214 12.8260
angles (deg): 90.00 90.00 90.00
Atoms (fractional coordinates):
Ac  0.0000  0.0000  0.0000
Ac  0.5000  0.5000  0.5000
Pr  0.0000  0.0000  0.7020
Pr  0.5000  0.5000  0.2020
S  0.0000  0.0000  0.3516
S  0.5000  0.5000  0.8516
O  0.0000  0.5000  0.1072
O  0.0000  0.5000  0.6072
O  0.5000  0.0000  0.1072
O  0.5000  0.0000  0.6072

Principal peaks in the range 2θ from 15° to 90°, by intensity:
Position (°2θ)	I_rel
30.52	100
23.18	50
31.46	42
55.43	37
42.49	26
45.09	22
53.64	18
55.08	14
73.84	14
51.30	13